Entry 1:
Diffraction record for LiMg14Ti. The PXRD pattern is calculated, not measured: it uses the GGA-PBE geometry in Alexandria and copper Kα.

Atomic structure:
a = 6.3526 Å, b = 6.3526 Å, c = 10.1101 Å
α = 90.00°, β = 90.00°, γ = 120.00°
Element x y z (fractional)
1 Li 0.0000 0.0000 0.0000
2 Mg 0.0008 0.5004 0.0000
3 Mg 0.0038 0.5019 0.5000
4 Mg 0.1620 0.3240 0.2544
5 Mg 0.1620 0.3240 0.7456
6 Mg 0.1620 0.8380 0.2544
7 Mg 0.1620 0.8380 0.7456
8 Mg 0.4981 0.5019 0.5000
9 Mg 0.4981 0.9962 0.5000
10 Mg 0.4996 0.5004 0.0000
11 Mg 0.4996 0.9992 0.0000
12 Mg 0.6667 0.3333 0.2540
13 Mg 0.6667 0.3333 0.7460
14 Mg 0.6760 0.8380 0.2544
15 Mg 0.6760 0.8380 0.7456
16 Ti 0.0000 0.0000 0.5000

Peak list (12 most intense, 5° ≤ 2θ ≤ 70°, by angle)
2θ = 8.75°, rel. 10.3; 2θ = 18.36°, rel. 9.2; 2θ = 29.48°, rel. 2.7; 2θ = 31.12°, rel. 2.3; 2θ = 32.55°, rel. 24.3; 2θ = 35.52°, rel. 25.3; 2θ = 37.21°, rel. 100.0; 2θ = 48.94°, rel. 14.6; 2θ = 58.08°, rel. 17.0; 2θ = 64.90°, rel. 17.8; 2θ = 68.18°, rel. 2.5; 2θ = 69.96°, rel. 18.6

=====

Entry 2:
Diffraction record for LiMg14Ti. The PXRD pattern is calculated, not measured: it uses the GGA-PBE geometry in Alexandria and copper Kα.

Atomic structure:
a = 10.1892 Å, b = 6.3299 Å, c = 6.3299 Å
α = 60.34°, β = 90.00°, γ = 90.00°
Element x y z (fractional)
1 Li 0.0000 0.0000 0.0000
2 Mg 0.0000 0.0007 0.4946
3 Mg 0.0000 0.4946 0.0007
4 Mg 0.2418 0.3320 0.8262
5 Mg 0.2418 0.8262 0.3320
6 Mg 0.2434 0.8328 0.8328
7 Mg 0.2448 0.3349 0.3349
8 Mg 0.5000 0.4991 0.4991
9 Mg 0.5000 0.4986 0.9984
10 Mg 0.5000 0.9984 0.4986
11 Mg 0.5000 0.9989 0.9989
12 Mg 0.7552 0.3349 0.3349
13 Mg 0.7566 0.8328 0.8328
14 Mg 0.7582 0.3320 0.8262
15 Mg 0.7582 0.8262 0.3320
16 Ti 0.0000 0.4983 0.4983

Peak list (12 most intense, 5° ≤ 2θ ≤ 70°, by angle)
2θ = 18.33°, rel. 9.1; 2θ = 32.56°, rel. 24.1; 2θ = 32.73°, rel. 12.1; 2θ = 35.23°, rel. 38.3; 2θ = 37.15°, rel. 100.0; 2θ = 37.30°, rel. 49.1; 2θ = 48.72°, rel. 14.5; 2θ = 58.31°, rel. 16.8; 2θ = 64.49°, rel. 17.6; 2θ = 64.59°, rel. 8.7; 2θ = 69.69°, rel. 9.3; 2θ = 69.99°, rel. 18.3

=====

Entry 3:
Diffraction record for Li3Mg2Tl. The PXRD pattern is calculated, not measured: it uses the GGA-PBE geometry in Alexandria and copper Kα.

Atomic structure:
a = 9.7749 Å, b = 9.0185 Å, c = 5.6842 Å
α = 79.84°, β = 65.25°, γ = 34.92°
Element x y z (fractional)
1 Li 0.1668 0.6704 0.3296
2 Li 0.1676 0.1676 0.8324
3 Li 0.3296 0.8332 0.1668
4 Li 0.6704 0.1668 0.8332
5 Li 0.8324 0.8324 0.1676
6 Li 0.8332 0.3296 0.6704
7 Mg 0.2457 0.7543 0.7543
8 Mg 0.2500 0.2500 0.2500
9 Mg 0.7500 0.7500 0.7500
10 Mg 0.7543 0.2457 0.2457
11 Tl 0.3391 0.3391 0.6609
12 Tl 0.6609 0.6609 0.3391

Peak list (12 most intense, 5° ≤ 2θ ≤ 70°, by angle)
2θ = 10.40°, rel. 28.5; 2θ = 18.15°, rel. 50.8; 2θ = 18.39°, rel. 44.2; 2θ = 23.45°, rel. 100.0; 2θ = 31.58°, rel. 21.1; 2θ = 32.00°, rel. 13.0; 2θ = 35.16°, rel. 18.1; 2θ = 35.39°, rel. 35.4; 2θ = 36.60°, rel. 14.3; 2θ = 36.78°, rel. 47.3; 2θ = 37.29°, rel. 14.5; 2θ = 49.11°, rel. 13.9

=====

Entry 4:
Diffraction record for Li8Mg3Tl2. The PXRD pattern is calculated, not measured: it uses the GGA-PBE geometry in Alexandria and copper Kα.

Atomic structure:
a = 7.3464 Å, b = 7.3464 Å, c = 5.7513 Å
α = 97.22°, β = 97.22°, γ = 69.35°
Element x y z (fractional)
1 Li 0.0637 0.6872 0.0416
2 Li 0.0778 0.0778 0.3470
3 Li 0.2785 0.2785 0.6977
4 Li 0.3128 0.9363 0.9584
5 Li 0.6872 0.0637 0.0416
6 Li 0.7215 0.7215 0.3023
7 Li 0.9222 0.9222 0.6530
8 Li 0.9363 0.3128 0.9584
9 Mg 0.3184 0.6816 0.5000
10 Mg 0.5000 0.5000 0.0000
11 Mg 0.6816 0.3184 0.5000
12 Tl 0.2977 0.2977 0.2214
13 Tl 0.7023 0.7023 0.7786

Peak list (12 most intense, 5° ≤ 2θ ≤ 70°, by angle)
2θ = 12.93°, rel. 30.9; 2θ = 14.84°, rel. 30.3; 2θ = 19.40°, rel. 62.0; 2θ = 19.85°, rel. 22.9; 2θ = 21.20°, rel. 100.0; 2θ = 24.77°, rel. 20.7; 2θ = 26.02°, rel. 30.6; 2θ = 31.66°, rel. 16.5; 2θ = 37.21°, rel. 24.7; 2θ = 37.54°, rel. 21.0; 2θ = 38.44°, rel. 20.8; 2θ = 39.23°, rel. 19.6

=====

Entry 5:
Diffraction record for LiMg4Tl6. The PXRD pattern is calculated, not measured: it uses the GGA-PBE geometry in Alexandria and copper Kα.

Atomic structure:
a = 5.9678 Å, b = 5.9711 Å, c = 8.1807 Å
α = 102.96°, β = 96.43°, γ = 92.80°
Element x y z (fractional)
1 Li 0.0000 0.0000 0.0000
2 Mg 0.5131 0.2991 0.0388
3 Mg 0.7015 0.1156 0.6660
4 Mg 0.8448 0.7697 0.3136
5 Mg 0.9658 0.6294 0.6663
6 Tl 0.0341 0.4926 0.0053
7 Tl 0.2073 0.1150 0.6748
8 Tl 0.3586 0.9709 0.2736
9 Tl 0.4177 0.5485 0.4709
10 Tl 0.5288 0.7422 0.8906
11 Tl 0.8846 0.2696 0.3333

Peak list (12 most intense, 5° ≤ 2θ ≤ 70°, by angle)
2θ = 14.98°, rel. 40.2; 2θ = 22.30°, rel. 100.0; 2θ = 22.70°, rel. 52.5; 2θ = 24.13°, rel. 55.5; 2θ = 30.17°, rel. 91.6; 2θ = 31.92°, rel. 42.8; 2θ = 33.50°, rel. 42.0; 2θ = 33.68°, rel. 73.8; 2θ = 33.96°, rel. 74.8; 2θ = 34.35°, rel. 66.4; 2θ = 35.52°, rel. 99.0; 2θ = 36.98°, rel. 50.1

=====

Entry 6:
Diffraction record for Li6Mg3Tl. The PXRD pattern is calculated, not measured: it uses the GGA-PBE geometry in Alexandria and copper Kα.

Atomic structure:
a = 6.9251 Å, b = 7.5222 Å, c = 10.3414 Å
α = 90.00°, β = 131.86°, γ = 90.00°
Element x y z (fractional)
1 Li 0.1110 0.1194 0.1415
2 Li 0.1110 0.3806 0.6415
3 Li 0.1323 0.1842 0.8766
4 Li 0.1323 0.3158 0.3766
5 Li 0.3398 0.6394 0.3689
6 Li 0.3398 0.8606 0.8689
7 Li 0.6602 0.1394 0.1311
8 Li 0.6602 0.3606 0.6311
9 Li 0.8677 0.6842 0.6234
10 Li 0.8677 0.8158 0.1234
11 Li 0.8890 0.6194 0.3585
12 Li 0.8890 0.8806 0.8585
13 Mg 0.0000 0.0000 0.5000
14 Mg 0.0000 0.5000 0.0000
15 Mg 0.4365 0.6621 0.6849
16 Mg 0.4365 0.8379 0.1849
17 Mg 0.5635 0.1621 0.8151
18 Mg 0.5635 0.3379 0.3151
19 Tl 0.5000 0.0000 0.5000
20 Tl 0.5000 0.5000 0.0000

Peak list (12 most intense, 5° ≤ 2θ ≤ 70°, by angle)
2θ = 16.47°, rel. 100.0; 2θ = 17.21°, rel. 70.3; 2θ = 17.41°, rel. 64.8; 2θ = 23.66°, rel. 19.9; 2θ = 29.07°, rel. 38.2; 2θ = 29.41°, rel. 36.8; 2θ = 30.70°, rel. 59.2; 2θ = 33.30°, rel. 26.2; 2θ = 35.23°, rel. 25.1; 2θ = 37.00°, rel. 25.0; 2θ = 37.73°, rel. 22.3; 2θ = 42.55°, rel. 20.4

=====

Entry 7:
Diffraction record for Li4Mg9Tl11. The PXRD pattern is calculated, not measured: it uses the GGA-PBE geometry in Alexandria and copper Kα.

Atomic structure:
a = 12.9399 Å, b = 12.9399 Å, c = 3.6227 Å
α = 90.00°, β = 90.00°, γ = 111.75°
Element x y z (fractional)
1 Li 0.0548 0.2452 0.0000
2 Li 0.2452 0.0548 0.0000
3 Li 0.7548 0.9452 0.0000
4 Li 0.9452 0.7548 0.0000
5 Mg 0.0000 0.0000 0.0000
6 Mg 0.1276 0.6463 0.0000
7 Mg 0.2897 0.4483 0.0000
8 Mg 0.3537 0.8724 0.0000
9 Mg 0.4483 0.2897 0.0000
10 Mg 0.5517 0.7103 0.0000
11 Mg 0.6463 0.1276 0.0000
12 Mg 0.7103 0.5517 0.0000
13 Mg 0.8724 0.3537 0.0000
14 Tl 0.0856 0.4270 0.5000
15 Tl 0.1350 0.8650 0.5000
16 Tl 0.2213 0.2213 0.5000
17 Tl 0.3328 0.6672 0.5000
18 Tl 0.4270 0.0856 0.5000
19 Tl 0.5000 0.5000 0.5000
20 Tl 0.5730 0.9144 0.5000
21 Tl 0.6672 0.3328 0.5000
22 Tl 0.7787 0.7787 0.5000
23 Tl 0.8650 0.1350 0.5000
24 Tl 0.9144 0.5730 0.5000

Peak list (12 most intense, 5° ≤ 2θ ≤ 70°, by angle)
2θ = 24.55°, rel. 100.0; 2θ = 24.94°, rel. 39.7; 2θ = 27.82°, rel. 14.9; 2θ = 32.96°, rel. 10.2; 2θ = 34.99°, rel. 57.7; 2θ = 35.28°, rel. 95.3; 2θ = 37.45°, rel. 14.2; 2θ = 43.45°, rel. 31.3; 2θ = 50.38°, rel. 12.0; 2θ = 56.77°, rel. 17.5; 2θ = 56.97°, rel. 20.8; 2θ = 62.95°, rel. 31.7

=====

Entry 8:
Diffraction record for Li2Mg12Tl5. The PXRD pattern is calculated, not measured: it uses the GGA-PBE geometry in Alexandria and copper Kα.

Atomic structure:
a = 8.7495 Å, b = 8.7495 Å, c = 9.8480 Å
α = 101.75°, β = 101.75°, γ = 41.44°
Element x y z (fractional)
1 Li 0.2408 0.7592 0.0000
2 Li 0.7592 0.2408 0.0000
3 Mg 0.0244 0.0244 0.3474
4 Mg 0.0581 0.5419 0.8829
5 Mg 0.1022 0.6086 0.3669
6 Mg 0.3719 0.3719 0.6665
7 Mg 0.3914 0.8978 0.6331
8 Mg 0.4581 0.9419 0.1171
9 Mg 0.5419 0.0581 0.8829
10 Mg 0.6086 0.1022 0.3669
11 Mg 0.6281 0.6281 0.3335
12 Mg 0.8978 0.3914 0.6331
13 Mg 0.9419 0.4581 0.1171
14 Mg 0.9756 0.9756 0.6526
15 Tl 0.1244 0.1244 0.8789
16 Tl 0.2053 0.2053 0.3958
17 Tl 0.5000 0.5000 0.5000
18 Tl 0.7947 0.7947 0.6042
19 Tl 0.8756 0.8756 0.1211

Peak list (12 most intense, 5° ≤ 2θ ≤ 70°, by angle)
2θ = 9.20°, rel. 44.4; 2θ = 17.29°, rel. 30.8; 2θ = 18.52°, rel. 35.2; 2θ = 22.02°, rel. 85.6; 2θ = 22.17°, rel. 52.1; 2θ = 23.13°, rel. 100.0; 2θ = 25.30°, rel. 40.9; 2θ = 28.84°, rel. 36.7; 2θ = 36.67°, rel. 45.6; 2θ = 37.59°, rel. 39.4; 2θ = 38.07°, rel. 36.2; 2θ = 41.28°, rel. 40.5